The following is a simulated powder diffraction line list of Pr3Y8Th3. It was derived from a GGA-PBE-relaxed structure, using Cu Kα (weighted mean of Kα1 and Kα2).
Neutral-atom scattering factors, no anomalous dispersion.

Most intense lines, 5° ≤ 2θ ≤ 70°, by angle:
- 9.7°, intensity 23
- 29.1°, intensity 65
- 29.4°, intensity 21
- 30.0°, intensity 100
- 31.5°, intensity 92
- 31.6°, intensity 63
- 33.9°, intensity 25
- 49.9°, intensity 23
- 60.3°, intensity 31
- 61.7°, intensity 33

Lattice parameters (Å, degrees): 9.5994 9.5994 9.5994 145.74 100.53 89.47
Element x y z (fractional)
Pr  0.0000  0.0000  0.0000
Pr  0.2821  0.0000  0.2821
Pr  0.7179  0.0000  0.7179
Y  0.0220  0.3848  0.6372
Y  0.1116  0.2521  0.8595
Y  0.2523  0.6152  0.6372
Y  0.3926  0.2521  0.1405
Y  0.6074  0.7479  0.8595
Y  0.7477  0.3848  0.3628
Y  0.8884  0.7479  0.1405
Y  0.9780  0.6152  0.3628
Th  0.3444  0.8444  0.5000
Th  0.5000  0.5000  0.0000
Th  0.6556  0.1556  0.5000

---

The following is a simulated powder diffraction line list of PrSmHo2. It was derived from a GGA-PBE-relaxed structure, using Cu Kα (weighted mean of Kα1 and Kα2).
Neutral-atom scattering factors, no anomalous dispersion.

Most intense lines, 5° ≤ 2θ ≤ 70°, by angle:
- 30.4°, intensity 100
- 30.7°, intensity 33
- 35.3°, intensity 67
- 50.7°, intensity 24
- 51.0°, intensity 24
- 60.3°, intensity 14
- 60.4°, intensity 29
- 60.7°, intensity 14
- 63.3°, intensity 12
- 63.9°, intensity 4

Lattice parameters (Å, degrees): 11.8436 11.8436 11.8436 17.50 17.50 17.50
Element x y z (fractional)
Pr  0.0000  0.0000  0.0000
Sm  0.5000  0.5000  0.5000
Ho  0.2493  0.2493  0.2493
Ho  0.7507  0.7507  0.7507

---

The following is a simulated powder diffraction line list of Ce2Ge5Os3. It was derived from a GGA-PBE-relaxed structure, using Cu Kα (weighted mean of Kα1 and Kα2).
Neutral-atom scattering factors, no anomalous dispersion.

Most intense lines, 5° ≤ 2θ ≤ 70°, by angle:
- 23.4°, intensity 35
- 32.3°, intensity 27
- 33.9°, intensity 100
- 34.1°, intensity 46
- 35.1°, intensity 56
- 39.5°, intensity 21
- 42.3°, intensity 83
- 47.3°, intensity 18
- 56.0°, intensity 24
- 62.7°, intensity 18

Lattice parameters (Å, degrees): 8.5003 8.5003 8.5003 107.28 86.92 139.17
Element x y z (fractional)
Ce  0.1375  0.2295  0.3670
Ce  0.3625  0.7295  0.0920
Ce  0.6375  0.2705  0.9080
Ce  0.8625  0.7705  0.6330
Ge  0.0375  0.7500  0.2875
Ge  0.0911  0.6677  0.7588
Ge  0.2500  0.2500  0.0000
Ge  0.4089  0.1677  0.5767
Ge  0.4625  0.7500  0.7125
Ge  0.5375  0.2500  0.2875
Ge  0.5911  0.8323  0.4233
Ge  0.7500  0.7500  0.0000
Ge  0.9089  0.3323  0.2412
Ge  0.9625  0.2500  0.7125
Os  0.1472  0.8973  0.0445
Os  0.2500  0.7500  0.5000
Os  0.3528  0.3973  0.7502
Os  0.6472  0.6027  0.2498
Os  0.7500  0.2500  0.5000
Os  0.8528  0.1027  0.9555

---

The following is a simulated powder diffraction line list of DyErGeRu. It was derived from a GGA-PBE-relaxed structure, using Cu Kα (weighted mean of Kα1 and Kα2).
Neutral-atom scattering factors, no anomalous dispersion.

Most intense lines, 5° ≤ 2θ ≤ 70°, by angle:
- 28.5°, intensity 13
- 32.6°, intensity 100
- 33.1°, intensity 21
- 40.4°, intensity 37
- 40.8°, intensity 14
- 42.9°, intensity 19
- 47.3°, intensity 14
- 58.6°, intensity 11
- 64.2°, intensity 10
- 65.7°, intensity 10

Lattice parameters (Å, degrees): 3.8452 5.8080 5.8080 42.61 90.00 90.00
Element x y z (fractional)
Dy  0.0000  0.0000  0.0000
Er  0.5000  0.7180  0.7180
Ge  0.5000  0.4225  0.4225
Ru  0.0000  0.2677  0.2677

---

The following is a simulated powder diffraction line list of Ce2ScCo9. It was derived from a GGA-PBE-relaxed structure, using Cu Kα (weighted mean of Kα1 and Kα2).
Neutral-atom scattering factors, no anomalous dispersion.

Most intense lines, 5° ≤ 2θ ≤ 70°, by angle:
- 10.7°, intensity 14
- 25.7°, intensity 17
- 33.1°, intensity 32
- 36.0°, intensity 30
- 37.2°, intensity 35
- 43.3°, intensity 100
- 45.6°, intensity 26
- 45.7°, intensity 17
- 47.1°, intensity 26
- 66.3°, intensity 15

Lattice parameters (Å, degrees): 8.7425 8.7425 8.7425 32.10 32.10 32.10
Element x y z (fractional)
Ce  0.1386  0.1386  0.1386
Ce  0.8614  0.8614  0.8614
Sc  0.0000  0.0000  0.0000
Co  0.0809  0.5780  0.5780
Co  0.3328  0.3328  0.3328
Co  0.4220  0.4220  0.9191
Co  0.4220  0.9191  0.4220
Co  0.5000  0.5000  0.5000
Co  0.5780  0.0809  0.5780
Co  0.5780  0.5780  0.0809
Co  0.6672  0.6672  0.6672
Co  0.9191  0.4220  0.4220

---

The following is a simulated powder diffraction line list of La5Te5N. It was derived from a GGA-PBE-relaxed structure, using Cu Kα (weighted mean of Kα1 and Kα2).
Neutral-atom scattering factors, no anomalous dispersion.

Most intense lines, 5° ≤ 2θ ≤ 70°, by angle:
- 28.1°, intensity 100
- 28.4°, intensity 84
- 29.1°, intensity 75
- 29.6°, intensity 27
- 34.0°, intensity 27
- 40.4°, intensity 65
- 40.9°, intensity 59
- 41.2°, intensity 25
- 50.5°, intensity 31
- 50.6°, intensity 33

Lattice parameters (Å, degrees): 7.6886 7.6886 8.7690 107.81 107.81 48.74
Element x y z (fractional)
La  0.0000  0.0000  0.0000
La  0.3536  0.3536  0.1418
La  0.3578  0.3578  0.7134
La  0.6422  0.6422  0.2866
La  0.6464  0.6464  0.8582
Te  0.1571  0.1571  0.8120
Te  0.1800  0.1800  0.3361
Te  0.5000  0.5000  0.5000
Te  0.8200  0.8200  0.6639
Te  0.8429  0.8429  0.1880
N  0.5000  0.5000  0.0000